(1)
The following is a simulated powder X-ray diffraction pattern of Ag2SbPdO4. It was derived from a structure optimized by DFT (GGA-PBE), using Cu Kα (λ = 1.5418 Å).

Peak list (10 most intense, 2θ = 10–90°, most intense first)
d [Å]	Rel. int.
2.899	100
2.850	56
2.913	49
2.577	35
1.860	19
2.520	19
2.419	17
1.543	14
1.749	11
1.817	11

Atomic structure:
```
8
Lattice="5.0415 0.0000 0.0000 -0.0849 5.1545 0.0000 -2.4352 -2.4958 4.8376" Properties=species:S:1:pos:R:3 pbc="T T T"
Ag 0.0000 0.0000 0.0000
Ag -0.2240 2.7480 1.9326
Sb 2.2668 0.2634 2.6697
Pd 0.5332 0.3165 4.7624
O -1.2455 1.0524 3.6332
O 1.4111 1.3683 1.3013
O 1.1087 -1.1874 3.4469
O 3.1665 4.2115 1.4587
```

=====

(2)
The following is a simulated powder X-ray diffraction pattern of SrSF. It was derived from a structure optimized by DFT (GGA-PBE), using Cu Kα (λ = 1.5418 Å).

Peak list (10 most intense, 2θ = 10–90°, most intense first)
d [Å]	Rel. int.
3.094	100
2.248	35
4.089	24
1.901	23
3.036	22
2.147	20
1.764	17
1.355	16
1.798	15
1.258	10

Atomic structure:
```
12
Lattice="6.6911 -3.0380 0.0000 6.6911 3.0380 0.0000 0.0000 0.0000 6.0694" Properties=species:S:1:pos:R:3 pbc="T T T"
Sr 1.9782 0.0000 0.0000
Sr 4.7129 0.0000 3.0347
Sr 8.6693 0.0000 3.0347
Sr 11.4040 0.0000 0.0000
S 6.6911 2.2887 3.7839
S 6.6911 0.7493 0.7492
S 6.6911 -0.7493 5.3202
S 6.6911 -2.2887 2.2855
F 3.3456 1.4749 4.5521
F 3.3456 -1.4749 1.5174
F 10.0367 1.4749 4.5521
F 10.0367 -1.4749 1.5174
```